[1]
The following is a theoretical powder diffractogram of Tl3AgBr5. It was derived from a DFT-relaxed cell (PBE, Alexandria), using Cu Kα, 1.54184 Å.

Main lines, most intense first (2θ from 10° to 90°):
- 2θ 28.6, intensity 100.0, (2 1 3)
- 2θ 23.5, intensity 41.5, (2 0 2)
- 2θ 32.9, intensity 37.8, (3 1 0)
- 2θ 36.5, intensity 26.1, (2 1 5)
- 2θ 29.3, intensity 24.9, (2 2 0)
- 2θ 46.7, intensity 21.1, (4 1 3)

abc: 8.6125 8.6125 15.9975
angles: 90.00 90.00 90.00
Space group I4/mcm (No. 140)
One atom of each set of equivalent atoms:
Tl: 0.0000 0.0000 0.2500
Tl: 0.1618 0.3382 0.0000
Ag: 0.0000 0.5000 0.2500
Br: 0.0000 0.0000 0.0000
Br: 0.1625 0.3375 0.3587

=====

[2]
The following is a theoretical powder diffractogram of Tl2Ag3Br8. It was derived from a DFT-relaxed cell (PBE, Alexandria), using Cu Kα, 1.54184 Å.

Main lines, most intense first (2θ from 10° to 90°):
- 2θ 42.6, intensity 100.0, (1 4 2)
- 2θ 24.6, intensity 57.8, (0 1 2)
- 2θ 20.3, intensity 39.1, (2 1 -1)
- 2θ 18.8, intensity 36.0, (1 2 -1)
- 2θ 24.7, intensity 28.5, (2 1 -2)
- 2θ 39.2, intensity 26.5, (4 1 -2)

abc: 9.4269 12.0538 8.4748
angles: 90.00 116.56 90.00
Space group P2_1/c (No. 14)
One atom of each set of equivalent atoms:
Tl: 0.2438 0.1168 0.3719
Ag: 0.2464 0.7501 0.1229
Ag: 0.5000 0.0000 0.0000
Br: 0.0210 0.7459 0.7599
Br: 0.2576 0.5155 0.6111
Br: 0.2587 0.5156 0.1468
Br: 0.4876 0.7407 0.4944

=====

[3]
The following is a theoretical powder diffractogram of TlAg3Br6. It was derived from a DFT-relaxed cell (PBE, Alexandria), using Cu Kα, 1.54184 Å.

Main lines, most intense first (2θ from 10° to 90°):
- 2θ 20.9, intensity 100.0, (1 3 -1)
- 2θ 38.6, intensity 76.8, (3 3 1)
- 2θ 36.9, intensity 75.0, (3 5 -1)
- 2θ 39.5, intensity 61.9, (3 3 -3)
- 2θ 26.8, intensity 57.7, (0 4 1)
- 2θ 25.7, intensity 48.0, (1 3 1)

abc: 12.0799 15.3261 7.7549
angles: 90.00 119.69 90.00
Space group Cc (No. 9)
One atom of each set of equivalent atoms:
Tl: 0.0000 0.2487 0.0000
Ag: 0.1160 0.0482 0.3629
Ag: 0.2784 0.4498 0.8382
Ag: 0.4846 0.0620 0.9861
Br: 0.0837 0.4213 0.2399
Br: 0.1135 0.3180 0.7799
Br: 0.2348 0.0748 0.7796
Br: 0.2524 0.1745 0.2920
Br: 0.4195 0.4260 0.2788
Br: 0.4313 0.3323 0.7753

=====

Please write out number 2 again, unchanged.
The following is a theoretical powder diffractogram of Tl2Ag3Br8. It was derived from a DFT-relaxed cell (PBE, Alexandria), using Cu Kα, 1.54184 Å.

Main lines, most intense first (2θ from 10° to 90°):
- 2θ 42.6, intensity 100.0, (1 4 2)
- 2θ 24.6, intensity 57.8, (0 1 2)
- 2θ 20.3, intensity 39.1, (2 1 -1)
- 2θ 18.8, intensity 36.0, (1 2 -1)
- 2θ 24.7, intensity 28.5, (2 1 -2)
- 2θ 39.2, intensity 26.5, (4 1 -2)

abc: 9.4269 12.0538 8.4748
angles: 90.00 116.56 90.00
Space group P2_1/c (No. 14)
One atom of each set of equivalent atoms:
Tl: 0.2438 0.1168 0.3719
Ag: 0.2464 0.7501 0.1229
Ag: 0.5000 0.0000 0.0000
Br: 0.0210 0.7459 0.7599
Br: 0.2576 0.5155 0.6111
Br: 0.2587 0.5156 0.1468
Br: 0.4876 0.7407 0.4944